Computed XRD peak list
Compound: NaLiTbWO6
Radiation: Cu Kα, 1.54184 Å
Structure: the PBE+U geometry in the Materials Project

Structural model:
Cell: 8.3548 8.3548 8.3548 Å, 90.00 90.00 90.00°
Space group F-43m (No. 216)
One atom of each set of equivalent atoms:
Na: 0.0000 0.0000 0.0000 x4
Li: 0.0000 0.0000 0.5000 x4
Tb: 0.2500 0.2500 0.7500 x4
W: 0.2500 0.2500 0.2500 x4
O: 0.0177 0.2500 0.2500 x24

Top 8 peaks for 5 to 70 degrees two-theta, most intense first:
| hkl | 2theta | d (Å) | intensity |
| --- | --- | --- | --- |
| 2 0 0 | 21.27 | 4.177 | 100 |
| 2 2 0 | 30.26 | 2.954 | 79 |
| 4 2 0 | 48.74 | 1.868 | 43 |
| 4 2 2 | 53.75 | 1.705 | 32 |
| 4 0 0 | 43.32 | 2.089 | 28 |
| 6 0 0 | 67.23 | 1.392 | 20 |
| 4 4 0 | 62.93 | 1.477 | 17 |
| 2 2 2 | 37.28 | 2.412 | 12 |

---

Computed XRD peak list
Compound: Na5Li3V8O24
Radiation: Cu Kα, 1.54184 Å
Structure: the PBE+U geometry in the Materials Project

Structural model:
Cell: 10.5259 9.3283 11.8290 Å, 90.00 109.30 90.00°
Space group C2 (No. 5)
One atom of each set of equivalent atoms:
Na: 0.0000 0.0000 0.0000 x2
Na: 0.0000 0.0026 0.5000 x2
Na: 0.0000 0.6295 0.5000 x2
Na: 0.0005 0.4239 0.2487 x4
Li: 0.0000 0.6253 0.0000 x2
Li: 0.9999 0.8012 0.2483 x4
V: 0.2090 0.1199 0.2481 x4
V: 0.2113 0.1207 0.7514 x4
V: 0.2113 0.3048 0.0010 x4
V: 0.2124 0.3031 0.5017 x4
O: 0.1182 0.8133 0.4437 x4
O: 0.1186 0.6176 0.1993 x4
O: 0.1185 0.8077 0.9493 x4
O: 0.1215 0.6166 0.7088 x4
O: 0.1435 0.2150 0.1062 x4
O: 0.1453 0.2151 0.6083 x4
O: 0.1445 0.9545 0.2217 x4
O: 0.1463 0.2111 0.8579 x4
O: 0.1467 0.4701 0.9742 x4
O: 0.1468 0.9554 0.7243 x4
O: 0.1493 0.2081 0.3590 x4
O: 0.1502 0.4676 0.4689 x4

Top 8 peaks for 5 to 70 degrees two-theta, most intense first:
| hkl | 2theta | d (Å) | intensity |
| --- | --- | --- | --- |
| 2 2 -2 | 27.45 | 3.249 | 100 |
| 0 2 2 | 24.88 | 3.579 | 90 |
| 2 0 0 | 17.86 | 4.967 | 57 |
| 0 0 4 | 32.07 | 2.791 | 49 |
| 3 1 -2 | 28.08 | 3.178 | 36 |
| 3 1 0 | 28.60 | 3.121 | 35 |
| 2 2 2 | 33.83 | 2.650 | 29 |
| 0 4 2 | 41.99 | 2.152 | 27 |